# Mn2Sb2O7
Simulated powder XRD pattern, a wavelength of 1.5418 Å. Input: the PBE+U geometry in Alexandria.
Neutral-atom scattering factors, no anomalous dispersion.

Structural model:
a b c (Å): 10.2889 10.2889 10.2889
angles (deg): 90.00 90.00 90.00
Space group Fd-3m (No. 227, origin choice 2)
Inequivalent atoms, fractional coordinates:
Mn1 0.0000 0.0000 0.0000
Sb1 0.0000 0.0000 0.5000
O1 0.0781 0.3750 0.8750
O2 0.1250 0.1250 0.1250

Peak list (10 most intense, 2θ = 10–80°, most intense first)
hkl  d/Å  two_theta  I (rel.)
2 2 2  2.970  30.1  100
4 4 0  1.819  50.2  49
6 2 2  1.551  59.6  40
4 0 0  2.572  34.9  27
1 1 1  5.940  14.9  23
3 1 1  3.102  28.8  18
4 4 4  1.485  62.5  9
8 0 0  1.286  73.7  7
3 3 3  1.980  45.8  5
7 3 1  1.339  70.3  5